No. 1
Starting from a crystal structure in Alexandria, relaxed with GGA-PBE, the powder X-ray diffraction pattern of Pr3DyAu2 was simulated for Cu Kα, 1.54184 Å.

Structural model:
```
data_Pr3DyAu2
_chemical_formula_sum 'Pr6 Dy2 Au4'
_cell_length_a 5.1383
_cell_length_b 9.3798
_cell_length_c 7.2325
_cell_angle_alpha 90.00
_cell_angle_beta 90.00
_cell_angle_gamma 90.00
_space_group_name_H-M_alt 'P m c 21'
_space_group_IT_number 26
_space_group_name_Hall 'P 2c -2'
loop_
_atom_site_label
_atom_site_type_symbol
_atom_site_fract_x
_atom_site_fract_y
_atom_site_fract_z
Pr1 Pr 0.0000 0.0755 0.0000
Pr2 Pr 0.0000 0.3377 0.3551
Pr3 Pr 0.5000 0.1655 0.6586
Dy1 Dy 0.5000 0.4254 0.0130
Au1 Au 0.0000 0.3504 0.7753
Au2 Au 0.5000 0.1598 0.2383
```

Main lines, low angle first (2θ = 10–90°):
| h k l | two_theta | d [Å] | Rel. int. |
| --- | --- | --- | --- |
| 1 2 1 | 28.6 | 3.124 | 55 |
| 1 0 2 | 30.2 | 2.957 | 29 |
| 0 2 2 | 31.2 | 2.866 | 41 |
| 1 1 2 | 31.7 | 2.820 | 100 |
| 1 3 0 | 33.6 | 2.671 | 77 |
| 2 0 0 | 34.9 | 2.569 | 66 |
| 1 3 2 | 42.0 | 2.149 | 33 |
| 1 1 3 | 42.5 | 2.126 | 20 |
| 2 2 2 | 47.5 | 1.913 | 25 |
| 3 1 2 | 60.6 | 1.527 | 17 |

=====

No. 2
Starting from a crystal structure in Alexandria, relaxed with GGA-PBE, the powder X-ray diffraction pattern of Dy8Pt2Au was simulated for Cu Kα, 1.54184 Å.

Structural model:
```
data_Dy8Pt2Au
_chemical_formula_sum 'Dy16 Pt4 Au2'
_cell_length_a 8.4982
_cell_length_b 13.0841
_cell_length_c 5.7426
_cell_angle_alpha 90.00
_cell_angle_beta 107.26
_cell_angle_gamma 90.00
_space_group_name_H-M_alt 'C 1 m 1'
_space_group_IT_number 8
_space_group_name_Hall 'C -2y'
loop_
_atom_site_label
_atom_site_type_symbol
_atom_site_fract_x
_atom_site_fract_y
_atom_site_fract_z
Dy1 Dy 0.0000 0.0000 0.0000
Dy2 Dy 0.0811 0.3726 0.7843
Dy3 Dy 0.1645 0.1273 0.5963
Dy4 Dy 0.2444 0.5000 0.3693
Dy5 Dy 0.3739 0.2276 0.1843
Pt1 Pt 0.3726 0.3049 0.6844
Au1 Au 0.3736 0.0000 0.0650
```

Main lines, low angle first (2θ = 10–90°):
| h k l | two_theta | d [Å] | Rel. int. |
| --- | --- | --- | --- |
| 1 3 1 | 30.2 | 2.957 | 46 |
| 2 0 1 | 31.1 | 2.879 | 36 |
| 0 4 1 | 31.9 | 2.807 | 100 |
| 3 1 -1 | 33.0 | 2.714 | 67 |
| 2 4 0 | 35.2 | 2.547 | 59 |
| 0 2 2 | 35.5 | 2.529 | 35 |
| 2 2 -2 | 36.4 | 2.471 | 33 |
| 1 5 -1 | 38.3 | 2.350 | 65 |
| 3 3 0 | 39.2 | 2.299 | 36 |
| 2 8 1 | 65.7 | 1.422 | 24 |

=====

No. 3
Starting from a crystal structure in Alexandria, relaxed with GGA-PBE, the powder X-ray diffraction pattern of Dy4Pt3Au was simulated for Cu Kα, 1.54184 Å.

Structural model:
```
data_Dy4Pt3Au
_chemical_formula_sum 'Dy4 Pt3 Au1'
_cell_length_a 3.7551
_cell_length_b 4.5539
_cell_length_c 10.6161
_cell_angle_alpha 90.00
_cell_angle_beta 90.00
_cell_angle_gamma 90.00
_space_group_name_H-M_alt 'P m m 2'
_space_group_IT_number 25
_space_group_name_Hall 'P 2 -2'
loop_
_atom_site_label
_atom_site_type_symbol
_atom_site_fract_x
_atom_site_fract_y
_atom_site_fract_z
Dy1 Dy 0.0000 0.0000 0.0000
Dy2 Dy 0.0000 0.5000 0.2679
Dy3 Dy 0.5000 0.0000 0.4861
Dy4 Dy 0.5000 0.5000 0.7703
Pt1 Pt 0.0000 0.5000 0.5425
Pt2 Pt 0.5000 0.0000 0.2183
Pt3 Pt 0.5000 0.5000 0.0407
Au1 Au 0.0000 0.0000 0.7178
```

Main lines, low angle first (2θ = 10–90°):
| h k l | two_theta | d [Å] | Rel. int. |
| --- | --- | --- | --- |
| 1 1 1 | 32.0 | 2.795 | 100 |
| 0 0 4 | 33.8 | 2.654 | 31 |
| 0 1 4 | 39.3 | 2.293 | 24 |
| 0 2 0 | 39.6 | 2.277 | 35 |
| 1 1 3 | 40.2 | 2.242 | 81 |
| 2 0 0 | 48.5 | 1.878 | 20 |
| 0 2 4 | 53.0 | 1.728 | 17 |
| 2 2 0 | 64.3 | 1.449 | 17 |
| 1 3 3 | 72.2 | 1.308 | 15 |
| 1 2 7 | 80.2 | 1.196 | 13 |

=====

No. 4
Starting from a crystal structure in Alexandria, relaxed with GGA-PBE, the powder X-ray diffraction pattern of DySi2Pt7Au was simulated for Cu Kα, 1.54184 Å.

Structural model:
```
data_DySi2Pt7Au
_chemical_formula_sum 'Dy2 Si4 Pt14 Au2'
_cell_length_a 4.0380
_cell_length_b 4.0380
_cell_length_c 29.2337
_cell_angle_alpha 90.00
_cell_angle_beta 90.00
_cell_angle_gamma 90.00
_space_group_name_H-M_alt 'I -4 m 2'
_space_group_IT_number 119
_space_group_name_Hall 'I -4 -2'
loop_
_atom_site_label
_atom_site_type_symbol
_atom_site_fract_x
_atom_site_fract_y
_atom_site_fract_z
Dy1 Dy 0.0000 0.0000 0.0000
Si1 Si 0.0000 0.0000 0.3812
Pt1 Pt 0.0000 0.0000 0.3059
Pt2 Pt 0.0000 0.0000 0.5000
Pt3 Pt 0.0000 0.5000 0.0747
Pt4 Pt 0.0000 0.5000 0.5741
Au1 Au 0.0000 0.5000 0.2500
```

Main lines, low angle first (2θ = 10–90°):
| h k l | two_theta | d [Å] | Rel. int. |
| --- | --- | --- | --- |
| 0 0 4 | 12.1 | 7.308 | 17 |
| 1 0 1 | 22.2 | 4.000 | 14 |
| 1 0 3 | 23.9 | 3.730 | 22 |
| 1 0 5 | 26.8 | 3.323 | 17 |
| 1 1 6 | 36.5 | 2.463 | 100 |
| 1 1 10 | 44.3 | 2.043 | 25 |
| 2 0 0 | 44.9 | 2.019 | 41 |
| 2 2 0 | 65.4 | 1.428 | 14 |
| 2 0 16 | 69.4 | 1.355 | 10 |
| 3 1 6 | 77.2 | 1.235 | 23 |

=====

No. 5
Starting from a crystal structure in Alexandria, relaxed with GGA-PBE, the powder X-ray diffraction pattern of DyPuAu4 was simulated for Cu Kα, 1.54184 Å.

Structural model:
```
data_DyPuAu4
_chemical_formula_sum 'Dy2 Pu2 Au8'
_cell_length_a 5.3370
_cell_length_b 9.1978
_cell_length_c 5.3435
_cell_angle_alpha 90.00
_cell_angle_beta 90.00
_cell_angle_gamma 90.00
_space_group_name_H-M_alt 'A m m 2'
_space_group_IT_number 38
_space_group_name_Hall 'A 2 -2'
loop_
_atom_site_label
_atom_site_type_symbol
_atom_site_fract_x
_atom_site_fract_y
_atom_site_fract_z
Dy1 Dy 0.0000 0.0000 0.0000
Pu1 Pu 0.5000 0.0000 0.5009
Au1 Au 0.0000 0.1677 0.4996
Au2 Au 0.5000 0.1646 0.0010
```

Main lines, low angle first (2θ = 10–90°):
| h k l | two_theta | d [Å] | Rel. int. |
| --- | --- | --- | --- |
| 2 0 0 | 33.6 | 2.670 | 69 |
| 1 3 1 | 37.8 | 2.380 | 100 |
| 2 0 2 | 48.2 | 1.888 | 25 |
| 1 3 3 | 62.8 | 1.480 | 23 |
| 3 3 1 | 62.8 | 1.479 | 23 |
| 4 0 0 | 70.5 | 1.335 | 8 |
| 2 6 0 | 70.9 | 1.329 | 16 |
| 4 0 2 | 80.4 | 1.194 | 12 |
| 2 6 2 | 80.7 | 1.190 | 12 |
| 3 3 3 | 82.9 | 1.164 | 11 |

=====

No. 6
Starting from a crystal structure in Alexandria, relaxed with GGA-PBE, the powder X-ray diffraction pattern of DyPu2Si2Au2 was simulated for Cu Kα, 1.54184 Å.

Structural model:
```
data_DyPu2Si2Au2
_chemical_formula_sum 'Dy3 Pu6 Si6 Au6'
_cell_length_a 4.0709
_cell_length_b 4.0709
_cell_length_c 28.2082
_cell_angle_alpha 90.00
_cell_angle_beta 90.00
_cell_angle_gamma 120.00
_space_group_name_H-M_alt 'R -3 m'
_space_group_IT_number 166
_space_group_name_Hall '-R 3 2"'
loop_
_atom_site_label
_atom_site_type_symbol
_atom_site_fract_x
_atom_site_fract_y
_atom_site_fract_z
Dy1 Dy 0.0000 0.0000 0.0000
Pu1 Pu 0.0000 0.0000 0.1512
Si1 Si 0.0000 0.0000 0.2495
Au1 Au 0.0000 0.0000 0.4004
```

Main lines, low angle first (2θ = 10–90°):
| h k l | two_theta | d [Å] | Rel. int. |
| --- | --- | --- | --- |
| 1 0 4 | 28.3 | 3.153 | 62 |
| 0 1 5 | 29.9 | 2.990 | 83 |
| 1 0 7 | 33.8 | 2.653 | 95 |
| 0 1 8 | 36.0 | 2.493 | 31 |
| 1 1 0 | 44.5 | 2.035 | 100 |
| 1 0 13 | 49.3 | 1.848 | 34 |
| 1 1 9 | 53.7 | 1.707 | 21 |
| 0 2 7 | 57.0 | 1.615 | 22 |
| 0 1 20 | 72.1 | 1.309 | 34 |
| 2 0 20 | 88.9 | 1.101 | 20 |

=====

No. 7
Starting from a crystal structure in Alexandria, relaxed with GGA-PBE, the powder X-ray diffraction pattern of RbDyAu was simulated for Cu Kα, 1.54184 Å.

Structural model:
```
data_RbDyAu
_chemical_formula_sum 'Rb4 Dy4 Au4'
_cell_length_a 16.0745
_cell_length_b 4.0594
_cell_length_c 7.0094
_cell_angle_alpha 90.00
_cell_angle_beta 90.00
_cell_angle_gamma 90.00
_space_group_name_H-M_alt 'A m m 2'
_space_group_IT_number 38
_space_group_name_Hall 'A 2 -2'
loop_
_atom_site_label
_atom_site_type_symbol
_atom_site_fract_x
_atom_site_fract_y
_atom_site_fract_z
Rb1 Rb 0.1510 0.0000 0.0000
Dy1 Dy 0.3888 0.0000 0.6620
Au1 Au 0.0000 0.0000 0.6657
Au2 Au 0.5000 0.0000 0.9957
```

Main lines, low angle first (2θ = 10–90°):
| h k l | two_theta | d [Å] | Rel. int. |
| --- | --- | --- | --- |
| 2 0 0 | 11.0 | 8.037 | 66 |
| 0 0 2 | 25.4 | 3.510 | 43 |
| 5 0 0 | 27.7 | 3.216 | 21 |
| 3 1 1 | 30.4 | 2.936 | 100 |
| 5 0 2 | 38.0 | 2.371 | 54 |
| 6 1 1 | 42.4 | 2.130 | 11 |
| 0 2 0 | 44.6 | 2.030 | 12 |
| 0 1 3 | 44.8 | 2.025 | 23 |
| 3 2 2 | 55.0 | 1.669 | 13 |
| 8 2 0 | 65.4 | 1.427 | 14 |

=====

No. 8
Starting from a crystal structure in Alexandria, relaxed with GGA-PBE, the powder X-ray diffraction pattern of RbDySb2Au2 was simulated for Cu Kα, 1.54184 Å.

Structural model:
```
data_RbDySb2Au2
_chemical_formula_sum 'Rb1 Dy1 Sb2 Au2'
_cell_length_a 4.6725
_cell_length_b 4.6725
_cell_length_c 9.5277
_cell_angle_alpha 90.00
_cell_angle_beta 90.00
_cell_angle_gamma 120.00
_space_group_name_H-M_alt 'P -3 m 1'
_space_group_IT_number 164
_space_group_name_Hall '-P 3 2"'
loop_
_atom_site_label
_atom_site_type_symbol
_atom_site_fract_x
_atom_site_fract_y
_atom_site_fract_z
Rb1 Rb 0.0000 0.0000 0.0000
Dy1 Dy 0.0000 0.0000 0.5000
Sb1 Sb 0.3333 0.6667 0.7196
Au1 Au 0.3333 0.6667 0.3352
```

Main lines, low angle first (2θ = 10–90°):
| h k l | two_theta | d [Å] | Rel. int. |
| --- | --- | --- | --- |
| 0 0 3 | 28.1 | 3.176 | 14 |
| 1 0 2 | 29.0 | 3.084 | 100 |
| 1 0 3 | 35.9 | 2.498 | 33 |
| 1 1 0 | 38.5 | 2.336 | 72 |
| 1 1 1 | 39.7 | 2.269 | 18 |
| 1 1 3 | 48.4 | 1.882 | 20 |
| 0 2 2 | 48.9 | 1.862 | 24 |
| 1 0 5 | 53.1 | 1.724 | 14 |
| 2 1 2 | 63.9 | 1.456 | 21 |
| 3 0 0 | 69.7 | 1.349 | 13 |

=====

No. 9
Starting from a crystal structure in Alexandria, relaxed with GGA-PBE, the powder X-ray diffraction pattern of DyTmRhAu was simulated for Cu Kα, 1.54184 Å.

Structural model:
```
data_DyTmRhAu
_chemical_formula_sum 'Dy1 Tm1 Rh1 Au1'
_cell_length_a 3.5073
_cell_length_b 3.5073
_cell_length_c 6.9197
_cell_angle_alpha 90.00
_cell_angle_beta 90.00
_cell_angle_gamma 90.00
_space_group_name_H-M_alt 'P 4 m m'
_space_group_IT_number 99
_space_group_name_Hall 'P 4 -2'
loop_
_atom_site_label
_atom_site_type_symbol
_atom_site_fract_x
_atom_site_fract_y
_atom_site_fract_z
Dy1 Dy 0.0000 0.0000 0.0000
Tm1 Tm 0.0000 0.0000 0.5255
Rh1 Rh 0.5000 0.5000 0.7586
Au1 Au 0.5000 0.5000 0.2696
```

Main lines, low angle first (2θ = 10–90°):
| h k l | two_theta | d [Å] | Rel. int. |
| --- | --- | --- | --- |
| 1 1 0 | 36.2 | 2.480 | 52 |
| 1 0 2 | 36.5 | 2.463 | 100 |
| 2 0 0 | 52.2 | 1.754 | 18 |
| 0 0 4 | 52.9 | 1.730 | 8 |
| 2 1 2 | 65.3 | 1.429 | 37 |
| 1 1 4 | 65.8 | 1.419 | 17 |
| 2 0 4 | 77.5 | 1.232 | 11 |
| 3 1 0 | 88.1 | 1.109 | 9 |
| 3 0 2 | 88.2 | 1.108 | 8 |
| 1 0 6 | 89.4 | 1.096 | 8 |

=====

No. 10
Starting from a crystal structure in Alexandria, relaxed with GGA-PBE, the powder X-ray diffraction pattern of Dy4RuAu was simulated for Cu Kα, 1.54184 Å.

Structural model:
```
data_Dy4RuAu
_chemical_formula_sum 'Dy16 Ru4 Au4'
_cell_length_a 8.9697
_cell_length_b 13.0941
_cell_length_c 6.2708
_cell_angle_alpha 90.00
_cell_angle_beta 120.85
_cell_angle_gamma 90.00
_space_group_name_H-M_alt 'C 1 2/c 1'
_space_group_IT_number 15
_space_group_name_Hall '-C 2yc'
loop_
_atom_site_label
_atom_site_type_symbol
_atom_site_fract_x
_atom_site_fract_y
_atom_site_fract_z
Dy1 Dy 0.1187 0.1748 0.0885
Dy2 Dy 0.2105 0.4335 0.2968
Ru1 Ru 0.0000 0.0018 0.7500
Au1 Au 0.0000 0.3682 0.7500
```

Main lines, low angle first (2θ = 10–90°):
| h k l | two_theta | d [Å] | Rel. int. |
| --- | --- | --- | --- |
| 1 1 -2 | 29.8 | 2.998 | 54 |
| 3 1 -1 | 30.7 | 2.912 | 100 |
| 0 4 1 | 32.0 | 2.796 | 88 |
| 2 4 -1 | 34.2 | 2.619 | 47 |
| 1 3 -2 | 35.7 | 2.517 | 54 |
| 1 5 0 | 36.2 | 2.479 | 38 |
| 2 2 1 | 37.6 | 2.392 | 86 |
| 3 3 -2 | 39.7 | 2.271 | 42 |
| 3 3 0 | 40.8 | 2.213 | 43 |
| 3 3 -3 | 49.3 | 1.849 | 33 |

=====

No. 11
Starting from a crystal structure in Alexandria, relaxed with GGA-PBE, the powder X-ray diffraction pattern of Dy5RuAu4 was simulated for Cu Kα, 1.54184 Å.

Structural model:
```
data_Dy5RuAu4
_chemical_formula_sum 'Dy5 Ru1 Au4'
_cell_length_a 3.5334
_cell_length_b 3.5334
_cell_length_c 18.0387
_cell_angle_alpha 90.00
_cell_angle_beta 90.00
_cell_angle_gamma 90.00
_space_group_name_H-M_alt 'P 4/m m m'
_space_group_IT_number 123
_space_group_name_Hall '-P 4 2'
loop_
_atom_site_label
_atom_site_type_symbol
_atom_site_fract_x
_atom_site_fract_y
_atom_site_fract_z
Dy1 Dy 0.0000 0.0000 0.0000
Dy2 Dy 0.0000 0.0000 0.2044
Dy3 Dy 0.0000 0.0000 0.4082
Ru1 Ru 0.5000 0.5000 0.5000
Au1 Au 0.5000 0.5000 0.1011
Au2 Au 0.5000 0.5000 0.3054
```

Main lines, low angle first (2θ = 10–90°):
| h k l | two_theta | d [Å] | Rel. int. |
| --- | --- | --- | --- |
| 1 0 5 | 35.6 | 2.524 | 100 |
| 1 1 0 | 35.9 | 2.499 | 50 |
| 0 0 10 | 50.6 | 1.804 | 9 |
| 2 0 0 | 51.7 | 1.767 | 18 |
| 1 1 10 | 63.6 | 1.463 | 17 |
| 2 1 5 | 64.4 | 1.447 | 36 |
| 2 0 10 | 75.3 | 1.262 | 11 |
| 1 0 15 | 85.2 | 1.138 | 7 |
| 3 0 5 | 87.0 | 1.120 | 8 |
| 3 1 0 | 87.3 | 1.117 | 8 |

=====

No. 12
Starting from a crystal structure in Alexandria, relaxed with GGA-PBE, the powder X-ray diffraction pattern of Dy4TeAuS2 was simulated for Cu Kα, 1.54184 Å.

Structural model:
```
data_Dy4TeAuS2
_chemical_formula_sum 'Dy4 Te1 Au1 S2'
_cell_length_a 6.9811
_cell_length_b 3.9555
_cell_length_c 7.3560
_cell_angle_alpha 90.00
_cell_angle_beta 107.55
_cell_angle_gamma 90.00
_space_group_name_H-M_alt 'P 1 2/m 1'
_space_group_IT_number 10
_space_group_name_Hall '-P 2y'
loop_
_atom_site_label
_atom_site_type_symbol
_atom_site_fract_x
_atom_site_fract_y
_atom_site_fract_z
Dy1 Dy 0.2287 0.0000 0.2163
Dy2 Dy 0.2491 0.5000 0.7726
Te1 Te 0.5000 0.5000 0.5000
Au1 Au 0.0000 0.0000 0.5000
S1 S 0.0000 0.5000 0.0000
S2 S 0.5000 0.0000 0.0000
```

Main lines, low angle first (2θ = 10–90°):
| h k l | two_theta | d [Å] | Rel. int. |
| --- | --- | --- | --- |
| 2 0 -2 | 31.0 | 2.889 | 100 |
| 1 1 -2 | 33.8 | 2.654 | 10 |
| 2 0 2 | 42.7 | 2.116 | 12 |
| 1 1 -3 | 43.5 | 2.082 | 24 |
| 3 1 -1 | 45.2 | 2.006 | 24 |
| 0 2 0 | 45.9 | 1.978 | 12 |
| 2 2 -2 | 56.4 | 1.632 | 12 |
| 4 0 -4 | 64.5 | 1.445 | 11 |
| 3 1 -5 | 72.0 | 1.312 | 9 |
| 5 1 -3 | 74.5 | 1.273 | 11 |